Record 1
Calculated X-ray diffraction stick pattern of Ti6SnAu for Cu Kα, 1.54184 Å, from a PBE-relaxed structure.
Intensities are scaled so that the largest is 100.

Crystal structure
abc: 5.7945 5.7945 4.7965
angles: 90.00 90.00 120.00
Space group P-6m2 (No. 187)
One atom of each set of equivalent atoms:
Ti: 0.1679 0.3358 0.0000
Ti: 0.3309 0.1655 0.5000
Sn: 0.3333 0.6667 0.5000
Au: 0.6667 0.3333 0.0000

Largest 10 diffraction maxima, low angle first, 2θ from 5° to 70°:
- 17.67°, I = 23, (1 0 0)
- 25.69°, I = 47, (1 0 1)
- 30.86°, I = 19, (1 1 0)
- 35.79°, I = 25, (2 0 0)
- 37.50°, I = 28, (0 0 2)
- 40.58°, I = 100, (2 0 1)
- 51.84°, I = 15, (2 1 1)
- 52.80°, I = 16, (2 0 2)
- 64.31°, I = 16, (2 2 0)
- 69.74°, I = 19, (2 0 3)

***

Record 2
Calculated X-ray diffraction stick pattern of BiPd4Au4 for Cu Kα, 1.54184 Å, from a PBE-relaxed structure.
Intensities are scaled so that the largest is 100.

Crystal structure
abc: 8.833 8.833 4.076
angles: 90.00 90.00 90.00
Space group I4/mmm (No. 139)
One atom of each set of equivalent atoms:
Bi: 0.000 0.000 0.000
Pd: 0.169 0.169 0.500
Au: 0.000 0.335 0.000

Largest 10 diffraction maxima, low angle first, 2θ from 5° to 70°:
- 14.18°, I = 2, (1 1 0)
- 20.11°, I = 4, (2 0 0)
- 24.04°, I = 5, (1 0 1)
- 32.04°, I = 3, (3 1 0)
- 37.69°, I = 100, (3 0 1)
- 43.08°, I = 2, (3 2 1)
- 43.47°, I = 34, (3 3 0)
- 44.45°, I = 16, (0 0 2)
- 63.16°, I = 11, (6 0 0)
- 63.92°, I = 21, (3 3 2)

***

Record 3
Calculated X-ray diffraction stick pattern of Cs2TaBr7 for Cu Kα, 1.54184 Å, from a PBE-relaxed structure.
Intensities are scaled so that the largest is 100.

Crystal structure
abc: 11.985 11.985 11.985
angles: 90.00 90.00 90.00
Space group Fm-3m (No. 225)
One atom of each set of equivalent atoms:
Cs: 0.250 0.250 0.250
Ta: 0.000 0.000 0.000
Br: 0.000 0.000 0.213
Br: 0.000 0.000 0.500

Largest 10 diffraction maxima, low angle first, 2θ from 5° to 70°:
- 12.79°, I = 48, (1 1 1)
- 14.78°, I = 20, (2 0 0)
- 20.96°, I = 82, (2 2 0)
- 25.75°, I = 43, (2 2 2)
- 29.82°, I = 100, (4 0 0)
- 36.74°, I = 27, (4 2 2)
- 39.05°, I = 26, (5 1 1)
- 42.68°, I = 64, (4 4 0)
- 48.01°, I = 31, (6 2 0)
- 57.55°, I = 27, (6 4 2)

***

Record 4
Calculated X-ray diffraction stick pattern of AcEr2TaN4 for Cu Kα, 1.54184 Å, from a PBE-relaxed structure.
Intensities are scaled so that the largest is 100.

Crystal structure
abc: 3.470 12.247 12.038
angles: 90.00 90.00 90.00
Space group Cmcm (No. 63)
One atom of each set of equivalent atoms:
Ac: 0.000 0.090 0.250
Er: 0.000 0.372 0.036
Ta: 0.000 0.171 0.750
N: 0.000 0.000 0.000
N: 0.000 0.259 0.616
N: 0.000 0.425 0.250

Largest 10 diffraction maxima, low angle first, 2θ from 5° to 70°:
- 26.56°, I = 21, (0 2 3)
- 29.17°, I = 36, (0 4 0)
- 29.69°, I = 49, (0 0 4)
- 30.12°, I = 26, (0 4 1)
- 30.62°, I = 100, (1 1 2)
- 34.74°, I = 35, (1 3 1)
- 37.14°, I = 58, (1 3 2)
- 42.10°, I = 20, (0 4 4)
- 51.00°, I = 19, (1 5 3)
- 51.33°, I = 22, (1 3 5)

***

Record 5
Calculated X-ray diffraction stick pattern of AcSn3Ir2 for Cu Kα, 1.54184 Å, from a PBE-relaxed structure.
Intensities are scaled so that the largest is 100.

Crystal structure
abc: 9.4816 9.4816 11.5960
angles: 90.00 90.00 120.00
Space group R-3m (No. 166, hexagonal axes)
One atom of each set of equivalent atoms:
Ac: 0.0000 0.0000 0.2500
Sn: 0.9998 0.4999 0.2501
Ir: 0.0000 0.0000 0.0000
Ir: 0.0000 0.5000 0.0000

Largest 10 diffraction maxima, low angle first, 2θ from 5° to 70°:
- 18.73°, I = 6, (1 1 0)
- 22.99°, I = 37, (0 0 3)
- 26.60°, I = 6, (2 0 2)
- 32.73°, I = 3, (3 0 0)
- 37.98°, I = 100, (2 2 0)
- 44.86°, I = 19, (2 2 3)
- 54.79°, I = 18, (4 0 4)
- 60.19°, I = 8, (0 2 7)
- 61.92°, I = 2, (4 2 2)
- 68.61°, I = 37, (6 0 0)

***

Record 6
Calculated X-ray diffraction stick pattern of La3Sm7Y for Cu Kα, 1.54184 Å, from a PBE-relaxed structure.
Intensities are scaled so that the largest is 100.

Crystal structure
abc: 6.649 6.868 8.805
angles: 100.14 98.82 95.96
Space group P-1 (No. 2)
One atom of each set of equivalent atoms:
La: 0.000 0.000 0.000
La: 0.186 0.560 0.170
Sm: 0.011 0.770 0.576
Sm: 0.290 0.273 0.791
Sm: 0.433 0.789 0.854
Sm: 0.500 0.500 0.500
Y: 0.500 0.000 0.500

Largest 10 diffraction maxima, low angle first, 2θ from 5° to 70°:
- 30.54°, I = 24, (0 2 -2)
- 30.82°, I = 63, (1 2 -1)
- 31.15°, I = 100, (-1 2 1)
- 31.46°, I = 88, (2 -1 1)
- 31.51°, I = 60, (2 0 -2)
- 31.68°, I = 37, (0 1 -3)
- 32.08°, I = 20, (1 0 -3)
- 32.69°, I = 43, (1 1 2)
- 33.60°, I = 28, (1 -2 2)
- 45.64°, I = 15, (3 1 0)